This entry pairs a crystal structure of NiC4N6 with its simulated X-ray powder pattern. Radiation: Cu Kα (weighted mean of Kα1 and Kα2). Structure: a structure optimized by DFT (GGA-PBE).
Kinematic intensities with the Lorentz-polarization factor, no thermal factor.

Structural model:
abc: 6.383 6.952 7.293
angles: 90.00 90.00 90.00
Positions (direct):
Ni 0.000 0.000 0.000
Ni 0.500 0.500 0.500
C 0.228 0.176 0.345
C 0.228 0.176 0.655
C 0.272 0.676 0.155
C 0.272 0.676 0.845
C 0.728 0.324 0.155
C 0.728 0.324 0.845
C 0.772 0.824 0.345
C 0.772 0.824 0.655
N 0.174 0.120 0.201
N 0.174 0.120 0.799
N 0.204 0.747 0.000
N 0.296 0.247 0.500
N 0.326 0.620 0.299
N 0.326 0.620 0.701
N 0.674 0.380 0.299
N 0.674 0.380 0.701
N 0.704 0.753 0.500
N 0.796 0.253 0.000
N 0.826 0.880 0.201
N 0.826 0.880 0.799

The 10 most intense peaks (15 to 90 degrees two-theta), by angle:
- d = 5.032 Å, rel. 63.8
- d = 4.803 Å, rel. 82.5
- d = 4.702 Å, rel. 100.0
- d = 3.952 Å, rel. 29.5
- d = 3.053 Å, rel. 32.9
- d = 2.881 Å, rel. 17.3
- d = 2.816 Å, rel. 24.4
- d = 2.695 Å, rel. 28.7
- d = 2.351 Å, rel. 24.0
- d = 1.777 Å, rel. 14.9

This entry pairs a crystal structure of NiPtC6N6 with its simulated X-ray powder pattern. Radiation: Cu Kα (weighted mean of Kα1 and Kα2). Structure: a structure optimized by DFT (GGA-PBE).
Kinematic intensities with the Lorentz-polarization factor, no thermal factor.

Structural model:
abc: 7.382 7.382 7.382
angles: 60.00 60.00 60.00
Positions (direct):
Ni 0.000 0.000 0.000
Pt 0.500 0.500 0.500
C 0.306 0.306 0.694
C 0.306 0.694 0.306
C 0.306 0.694 0.694
C 0.694 0.306 0.306
C 0.694 0.306 0.694
C 0.694 0.694 0.306
N 0.195 0.195 0.805
N 0.195 0.805 0.195
N 0.195 0.805 0.805
N 0.805 0.195 0.195
N 0.805 0.195 0.805
N 0.805 0.805 0.195

The 10 most intense peaks (15 to 90 degrees two-theta), by angle:
- d = 5.220 Å, rel. 100.0
- d = 3.691 Å, rel. 41.9
- d = 3.148 Å, rel. 17.1
- d = 2.610 Å, rel. 21.5
- d = 2.334 Å, rel. 36.3
- d = 2.131 Å, rel. 14.1
- d = 1.846 Å, rel. 11.4
- d = 1.740 Å, rel. 17.4
- d = 1.651 Å, rel. 13.3
- d = 1.395 Å, rel. 11.9

This entry pairs a crystal structure of NpCN with its simulated X-ray powder pattern. Radiation: Cu Kα (weighted mean of Kα1 and Kα2). Structure: a structure optimized by DFT (GGA-PBE).
Kinematic intensities with the Lorentz-polarization factor, no thermal factor.

Structural model:
abc: 3.475 3.475 5.910
angles: 90.00 90.00 90.00
Positions (direct):
Np 0.000 0.000 0.000
Np 0.500 0.500 0.500
C 0.000 0.000 0.611
C 0.500 0.500 0.111
N 0.000 0.000 0.384
N 0.500 0.500 0.884

The 10 most intense peaks (15 to 90 degrees two-theta), by angle:
- d = 2.995 Å, rel. 100.0
- d = 2.955 Å, rel. 29.7
- d = 2.457 Å, rel. 42.8
- d = 1.889 Å, rel. 33.8
- d = 1.737 Å, rel. 14.9
- d = 1.714 Å, rel. 26.6
- d = 1.503 Å, rel. 28.3
- d = 1.498 Å, rel. 16.1
- d = 1.266 Å, rel. 8.0
- d = 1.220 Å, rel. 17.6

This entry pairs a crystal structure of PuCNO5 with its simulated X-ray powder pattern. Radiation: Cu Kα (weighted mean of Kα1 and Kα2). Structure: a structure optimized by DFT (GGA-PBE).
Kinematic intensities with the Lorentz-polarization factor, no thermal factor.

Structural model:
abc: 5.036 5.036 11.857
angles: 90.00 90.00 120.00
Positions (direct):
Pu 0.333 0.667 0.250
Pu 0.667 0.333 0.750
C 0.333 0.667 0.750
C 0.667 0.333 0.250
N 0.000 0.000 0.000
N 0.000 0.000 0.500
O 0.185 0.371 0.750
O 0.185 0.815 0.750
O 0.333 0.667 0.101
O 0.333 0.667 0.399
O 0.371 0.185 0.250
O 0.629 0.815 0.750
O 0.667 0.333 0.601
O 0.667 0.333 0.899
O 0.815 0.185 0.250
O 0.815 0.629 0.250

The 10 most intense peaks (15 to 90 degrees two-theta), by angle:
- d = 4.362 Å, rel. 24.9
- d = 4.093 Å, rel. 100.0
- d = 3.513 Å, rel. 32.9
- d = 2.964 Å, rel. 16.7
- d = 2.929 Å, rel. 25.3
- d = 2.518 Å, rel. 30.9
- d = 2.318 Å, rel. 27.6
- d = 2.145 Å, rel. 31.7
- d = 1.919 Å, rel. 17.5
- d = 1.633 Å, rel. 18.7

This entry pairs a crystal structure of Sc6C2NO2 with its simulated X-ray powder pattern. Radiation: Cu Kα (weighted mean of Kα1 and Kα2). Structure: a structure optimized by DFT (GGA-PBE).
Kinematic intensities with the Lorentz-polarization factor, no thermal factor.

Structural model:
abc: 5.625 5.625 5.601
angles: 99.68 99.68 119.82
Positions (direct):
Sc 0.070 0.413 0.240
Sc 0.243 0.243 0.769
Sc 0.413 0.070 0.240
Sc 0.587 0.930 0.760
Sc 0.757 0.757 0.231
Sc 0.930 0.587 0.760
C 0.333 0.667 0.000
C 0.667 0.333 0.000
N 0.000 0.000 0.000
O 0.166 0.834 0.500
O 0.834 0.166 0.500

The 10 most intense peaks (15 to 90 degrees two-theta), by angle:
- d = 2.652 Å, rel. 55.6
- d = 2.638 Å, rel. 17.9
- d = 2.294 Å, rel. 100.0
- d = 1.627 Å, rel. 19.5
- d = 1.621 Å, rel. 19.2
- d = 1.618 Å, rel. 18.5
- d = 1.385 Å, rel. 13.3
- d = 1.381 Å, rel. 6.6
- d = 1.325 Å, rel. 8.7
- d = 1.146 Å, rel. 5.2

This entry pairs a crystal structure of TcCNO2 with its simulated X-ray powder pattern. Radiation: Cu Kα (weighted mean of Kα1 and Kα2). Structure: a structure optimized by DFT (GGA-PBE).
Kinematic intensities with the Lorentz-polarization factor, no thermal factor.

Structural model:
abc: 3.782 3.782 3.974
angles: 90.00 90.00 90.00
Positions (direct):
Tc 0.000 0.000 0.000
C 0.500 0.500 0.500
N 0.000 0.000 0.500
O 0.000 0.500 0.000
O 0.500 0.000 0.000

The 10 most intense peaks (15 to 90 degrees two-theta), by angle:
- d = 3.974 Å, rel. 63.0
- d = 3.782 Å, rel. 100.0
- d = 2.740 Å, rel. 75.5
- d = 2.674 Å, rel. 30.9
- d = 1.891 Å, rel. 30.0
- d = 1.759 Å, rel. 22.1
- d = 1.708 Å, rel. 22.4
- d = 1.691 Å, rel. 19.4
- d = 1.556 Å, rel. 26.5
- d = 1.370 Å, rel. 18.2

This entry pairs a crystal structure of Zr6CNO with its simulated X-ray powder pattern. Radiation: Cu Kα (weighted mean of Kα1 and Kα2). Structure: a structure optimized by DFT (GGA-PBE).
Kinematic intensities with the Lorentz-polarization factor, no thermal factor.

Structural model:
abc: 5.462 5.462 10.024
angles: 90.00 90.00 90.00
Positions (direct):
Zr 0.202 0.202 0.000
Zr 0.205 0.205 0.330
Zr 0.206 0.206 0.665
Zr 0.294 0.706 0.165
Zr 0.295 0.705 0.830
Zr 0.298 0.702 0.500
Zr 0.702 0.298 0.500
Zr 0.705 0.295 0.830
Zr 0.706 0.294 0.165
Zr 0.794 0.794 0.665
Zr 0.795 0.795 0.330
Zr 0.798 0.798 0.000
C 0.000 0.000 0.832
C 0.500 0.500 0.332
N 0.000 0.000 0.165
N 0.500 0.500 0.665
O 0.000 0.000 0.499
O 0.500 0.500 0.999

The 10 most intense peaks (15 to 90 degrees two-theta), by angle:
- d = 2.731 Å, rel. 43.3
- d = 2.527 Å, rel. 100.0
- d = 2.443 Å, rel. 28.6
- d = 1.931 Å, rel. 15.6
- d = 1.671 Å, rel. 11.9
- d = 1.599 Å, rel. 18.5
- d = 1.534 Å, rel. 19.7
- d = 1.425 Å, rel. 11.6
- d = 1.379 Å, rel. 20.2
- d = 1.325 Å, rel. 11.0

This entry pairs a crystal structure of Os2C3N6 with its simulated X-ray powder pattern. Radiation: Cu Kα (weighted mean of Kα1 and Kα2). Structure: a structure optimized by DFT (GGA-PBE).
Kinematic intensities with the Lorentz-polarization factor, no thermal factor.

Structural model:
abc: 5.440 5.440 10.134
angles: 105.10 105.10 58.33
Positions (direct):
Os 0.149 0.700 0.998
Os 0.300 0.851 0.502
Os 0.700 0.149 0.498
Os 0.851 0.300 0.002
C 0.087 0.262 0.764
C 0.262 0.087 0.264
C 0.438 0.562 0.750
C 0.562 0.438 0.250
C 0.738 0.913 0.736
C 0.913 0.738 0.236
N 0.050 0.171 0.640
N 0.097 0.347 0.891
N 0.171 0.050 0.140
N 0.347 0.097 0.391
N 0.415 0.535 0.622
N 0.465 0.585 0.878
N 0.535 0.415 0.122
N 0.585 0.465 0.378
N 0.653 0.903 0.609
N 0.829 0.950 0.860
N 0.903 0.653 0.109
N 0.950 0.829 0.360

The 10 most intense peaks (15 to 90 degrees two-theta), by angle:
- d = 4.836 Å, rel. 100.0
- d = 4.534 Å, rel. 37.0
- d = 4.401 Å, rel. 46.4
- d = 3.947 Å, rel. 27.8
- d = 3.915 Å, rel. 35.7
- d = 2.718 Å, rel. 40.8
- d = 2.383 Å, rel. 41.3
- d = 2.357 Å, rel. 41.0
- d = 2.324 Å, rel. 38.4
- d = 1.818 Å, rel. 19.6

This entry pairs a crystal structure of Th8PC4N3 with its simulated X-ray powder pattern. Radiation: Cu Kα (weighted mean of Kα1 and Kα2). Structure: a structure optimized by DFT (GGA-PBE).
Kinematic intensities with the Lorentz-polarization factor, no thermal factor.

Structural model:
abc: 7.600 7.600 7.600
angles: 60.08 60.08 60.08
Positions (direct):
Th 0.250 0.250 0.250
Th 0.259 0.259 0.740
Th 0.259 0.740 0.259
Th 0.260 0.741 0.741
Th 0.740 0.259 0.259
Th 0.741 0.260 0.741
Th 0.741 0.741 0.260
Th 0.750 0.750 0.750
P 0.000 0.000 0.000
C 0.000 0.000 0.500
C 0.000 0.500 0.000
C 0.500 0.000 0.000
C 0.500 0.500 0.500
N 0.000 0.500 0.500
N 0.500 0.000 0.500
N 0.500 0.500 0.000

The 10 most intense peaks (15 to 90 degrees two-theta), by angle:
- d = 3.104 Å, rel. 100.0
- d = 2.689 Å, rel. 67.1
- d = 1.901 Å, rel. 48.6
- d = 1.621 Å, rel. 47.0
- d = 1.553 Å, rel. 12.5
- d = 1.344 Å, rel. 7.7
- d = 1.234 Å, rel. 14.3
- d = 1.232 Å, rel. 4.8
- d = 1.202 Å, rel. 21.5
- d = 1.098 Å, rel. 12.5

This entry pairs a crystal structure of Th8P3C3N with its simulated X-ray powder pattern. Radiation: Cu Kα (weighted mean of Kα1 and Kα2). Structure: a structure optimized by DFT (GGA-PBE).
Kinematic intensities with the Lorentz-polarization factor, no thermal factor.

Structural model:
abc: 7.980 7.980 7.980
angles: 58.12 58.12 58.12
Positions (direct):
Th 0.239 0.739 0.739
Th 0.240 0.240 0.240
Th 0.261 0.261 0.761
Th 0.261 0.761 0.261
Th 0.739 0.239 0.739
Th 0.739 0.739 0.239
Th 0.760 0.760 0.760
Th 0.761 0.261 0.261
P 0.000 0.500 0.500
P 0.500 0.000 0.500
P 0.500 0.500 0.000
C 0.000 0.000 0.500
C 0.000 0.500 0.000
C 0.500 0.000 0.000
N 0.500 0.500 0.500

The 10 most intense peaks (15 to 90 degrees two-theta), by angle:
- d = 3.304 Å, rel. 32.2
- d = 3.179 Å, rel. 100.0
- d = 2.779 Å, rel. 92.7
- d = 1.993 Å, rel. 28.9
- d = 1.938 Å, rel. 35.4
- d = 1.672 Å, rel. 28.4
- d = 1.655 Å, rel. 16.1
- d = 1.589 Å, rel. 24.6
- d = 1.258 Å, rel. 22.1
- d = 1.229 Å, rel. 18.4

This entry pairs a crystal structure of Zr4PC2N with its simulated X-ray powder pattern. Radiation: Cu Kα (weighted mean of Kα1 and Kα2). Structure: a structure optimized by DFT (GGA-PBE).
Kinematic intensities with the Lorentz-polarization factor, no thermal factor.

Structural model:
abc: 6.036 6.036 7.031
angles: 90.00 90.00 90.00
Positions (direct):
Zr 0.210 0.210 0.164
Zr 0.210 0.790 0.836
Zr 0.290 0.290 0.664
Zr 0.290 0.710 0.336
Zr 0.710 0.290 0.336
Zr 0.710 0.710 0.664
Zr 0.790 0.210 0.836
Zr 0.790 0.790 0.164
P 0.000 0.000 0.500
P 0.500 0.500 0.000
C 0.000 0.500 0.250
C 0.000 0.500 0.750
C 0.500 0.000 0.250
C 0.500 0.000 0.750
N 0.000 0.000 0.000
N 0.500 0.500 0.500

The 10 most intense peaks (15 to 90 degrees two-theta), by angle:
- d = 3.516 Å, rel. 12.0
- d = 3.018 Å, rel. 45.5
- d = 2.714 Å, rel. 100.0
- d = 2.520 Å, rel. 42.6
- d = 2.290 Å, rel. 19.4
- d = 2.134 Å, rel. 30.4
- d = 1.678 Å, rel. 28.5
- d = 1.625 Å, rel. 17.6
- d = 1.433 Å, rel. 18.5
- d = 1.362 Å, rel. 13.4

This entry pairs a crystal structure of Pa2C3N6 with its simulated X-ray powder pattern. Radiation: Cu Kα (weighted mean of Kα1 and Kα2). Structure: a structure optimized by DFT (GGA-PBE).
Kinematic intensities with the Lorentz-polarization factor, no thermal factor.

Structural model:
abc: 7.479 7.479 5.432
angles: 96.39 96.39 29.44
Positions (direct):
Pa 0.132 0.132 0.077
Pa 0.868 0.868 0.923
C 0.000 0.000 0.500
C 0.326 0.326 0.406
C 0.674 0.674 0.594
N 0.016 0.016 0.729
N 0.311 0.311 0.174
N 0.342 0.342 0.633
N 0.658 0.658 0.367
N 0.689 0.689 0.826
N 0.984 0.984 0.271

The 10 most intense peaks (15 to 90 degrees two-theta), by angle:
- d = 5.396 Å, rel. 100.0
- d = 4.094 Å, rel. 23.8
- d = 3.675 Å, rel. 62.0
- d = 3.593 Å, rel. 57.8
- d = 3.163 Å, rel. 39.0
- d = 3.080 Å, rel. 80.8
- d = 2.532 Å, rel. 53.1
- d = 2.290 Å, rel. 23.7
- d = 2.206 Å, rel. 36.3
- d = 2.183 Å, rel. 27.4

This entry pairs a crystal structure of PaC2N3 with its simulated X-ray powder pattern. Radiation: Cu Kα (weighted mean of Kα1 and Kα2). Structure: a structure optimized by DFT (GGA-PBE).
Kinematic intensities with the Lorentz-polarization factor, no thermal factor.

Structural model:
abc: 10.763 10.763 3.347
angles: 97.65 97.65 26.12
Positions (direct):
Pa 0.000 0.000 0.000
Pa 0.606 0.606 0.091
C 0.213 0.213 0.787
C 0.392 0.392 0.512
C 0.695 0.695 0.638
C 0.911 0.911 0.394
N 0.133 0.642 0.538
N 0.303 0.803 0.533
N 0.472 0.964 0.822
N 0.642 0.133 0.538
N 0.803 0.303 0.533
N 0.964 0.472 0.822

The 10 most intense peaks (15 to 90 degrees two-theta), by angle:
- d = 4.736 Å, rel. 21.6
- d = 3.980 Å, rel. 100.0
- d = 3.316 Å, rel. 26.2
- d = 3.292 Å, rel. 26.4
- d = 3.159 Å, rel. 75.5
- d = 2.455 Å, rel. 35.4
- d = 2.416 Å, rel. 35.9
- d = 2.177 Å, rel. 25.6
- d = 2.137 Å, rel. 22.4
- d = 1.961 Å, rel. 20.9